The following is a calculated powder diffraction line list of VP4O12. It was derived from the GGA+U geometry in Alexandria, using λ = 1.5418 Å (Cu Kα).
No peak broadening, texture or thermal motion is included.

Structure:
Lattice parameters (Å, degrees): 10.5719 10.5719 5.2461 99.29 99.29 73.31
Fractional positions:
1 V 0.0000 0.5000 0.0000
2 V 0.5000 0.0000 0.0000
3 P 0.1422 0.7007 0.8253
4 P 0.1911 0.4306 0.5372
5 P 0.2993 0.8578 0.1747
6 P 0.4306 0.1911 0.5372
7 P 0.5694 0.8089 0.4628
8 P 0.7007 0.1422 0.8253
9 P 0.8089 0.5694 0.4628
10 P 0.8578 0.2993 0.1747
11 O 0.0586 0.8101 0.6874
12 O 0.0787 0.6373 0.0034
13 O 0.0954 0.4063 0.6975
14 O 0.1562 0.4121 0.2457
15 O 0.1899 0.9414 0.3126
16 O 0.2180 0.5718 0.6325
17 O 0.2759 0.7241 0.0000
18 O 0.3367 0.3367 0.6081
19 O 0.3627 0.9213 0.9966
20 O 0.4063 0.0954 0.6975
21 O 0.4121 0.1562 0.2457
22 O 0.4282 0.7820 0.3675
23 O 0.5718 0.2180 0.6325
24 O 0.5879 0.8438 0.7543
25 O 0.5937 0.9046 0.3025
26 O 0.6373 0.0787 0.0034
27 O 0.6633 0.6633 0.3919
28 O 0.7241 0.2759 0.0000
29 O 0.7820 0.4282 0.3675
30 O 0.8101 0.0586 0.6874
31 O 0.8438 0.5879 0.7543
32 O 0.9046 0.5937 0.3025
33 O 0.9213 0.3627 0.9966
34 O 0.9414 0.1899 0.3126

Most intense lines, 10 to 80 degrees two-theta, in order of rising 2θ:
10.6°, intensity 54
14.0°, intensity 100
17.5°, intensity 27
18.4°, intensity 29
22.3°, intensity 39
24.7°, intensity 16
26.3°, intensity 9
26.9°, intensity 11
27.8°, intensity 8
28.5°, intensity 11
33.3°, intensity 24
35.4°, intensity 8

***

The following is a calculated powder diffraction line list of Li4MoO4. It was derived from the GGA+U geometry in Alexandria, using λ = 1.5418 Å (Cu Kα).
No peak broadening, texture or thermal motion is included.

Structure:
Lattice parameters (Å, degrees): 5.2907 5.2907 7.3137 122.09 122.09 33.95
Fractional positions:
1 Li 0.1423 0.1423 0.3893
2 Li 0.2948 0.2948 0.1844
3 Li 0.7052 0.7052 0.8156
4 Li 0.8577 0.8577 0.6107
5 Mo 0.5000 0.5000 0.0000
6 O 0.0787 0.0787 0.8817
7 O 0.2862 0.2862 0.7061
8 O 0.7138 0.7138 0.2939
9 O 0.9213 0.9213 0.1183

Most intense lines, 10 to 80 degrees two-theta, in order of rising 2θ:
14.6°, intensity 100
17.8°, intensity 70
21.1°, intensity 19
24.8°, intensity 15
30.8°, intensity 14
31.5°, intensity 29
31.9°, intensity 18
39.7°, intensity 11
41.4°, intensity 36
45.5°, intensity 13
48.1°, intensity 12
56.4°, intensity 14